Record 1
This entry pairs a crystal structure of VS5Cl4 with its computed X-ray powder pattern. Radiation: Cu Ka. Structure: a PBE-relaxed structure.

Crystal structure
abc: 7.7914 11.2957 7.1948
angles: 90.00 94.98 90.00
Atoms (fractional coordinates):
V 0.0000 0.2352 0.2500
V 0.0000 0.7648 0.7500
S 0.1368 0.2879 0.5513
S 0.1368 0.7121 0.0513
S 0.3964 0.2966 0.5489
S 0.3964 0.7034 0.0489
S 0.5000 0.1803 0.7500
S 0.5000 0.8197 0.2500
S 0.6036 0.2966 0.9511
S 0.6036 0.7034 0.4511
S 0.8632 0.2879 0.9487
S 0.8632 0.7121 0.4487
Cl 0.1778 0.3640 0.1105
Cl 0.1778 0.6360 0.6105
Cl 0.1987 0.0958 0.2455
Cl 0.1987 0.9042 0.7455
Cl 0.8013 0.0958 0.2545
Cl 0.8013 0.9042 0.7545
Cl 0.8222 0.3640 0.3895
Cl 0.8222 0.6360 0.8895

Top 8 peaks for 2θ = 5–70°, in order of rising 2θ:
7.762 Å, I = 21
6.052 Å, I = 19
5.648 Å, I = 83
4.952 Å, I = 100
3.416 Å, I = 21
3.151 Å, I = 17
2.596 Å, I = 16
2.583 Å, I = 21

=====

Record 2
This entry pairs a crystal structure of WS2Cl6 with its computed X-ray powder pattern. Radiation: Cu Ka. Structure: a PBE-relaxed structure.

Crystal structure
abc: 8.6516 8.6516 8.6516
angles: 53.39 53.39 53.39
Atoms (fractional coordinates):
W 0.0000 0.0000 0.0000
S 0.7173 0.7173 0.7173
S 0.8024 0.8024 0.8024
Cl 0.1941 0.7787 0.2065
Cl 0.2065 0.1941 0.7787
Cl 0.2205 0.7923 0.8061
Cl 0.7787 0.2065 0.1941
Cl 0.7923 0.8061 0.2205
Cl 0.8061 0.2205 0.7923

Top 8 peaks for 2θ = 5–70°, in order of rising 2θ:
7.397 Å, I = 52
6.442 Å, I = 100
5.755 Å, I = 51
4.281 Å, I = 18
3.886 Å, I = 17
2.878 Å, I = 31
2.679 Å, I = 18
2.309 Å, I = 17

=====

Record 3
This entry pairs a crystal structure of Y3S4Cl with its computed X-ray powder pattern. Radiation: Cu Ka. Structure: a PBE-relaxed structure.

Crystal structure
abc: 7.7280 7.7280 9.7207
angles: 109.09 109.09 53.25
Atoms (fractional coordinates):
Y 0.0058 0.9942 0.5000
Y 0.3570 0.3802 0.2831
Y 0.3802 0.3570 0.7831
Y 0.5952 0.6121 0.6993
Y 0.6121 0.5952 0.1993
Y 0.9942 0.0058 0.0000
S 0.0200 0.3438 0.1465
S 0.1818 0.7904 0.2407
S 0.2387 0.5765 0.5540
S 0.3438 0.0200 0.6465
S 0.4034 0.7280 0.9352
S 0.5765 0.2387 0.0540
S 0.7280 0.4034 0.4352
S 0.7904 0.1818 0.7407
Cl 0.6415 0.9531 0.3423
Cl 0.9531 0.6415 0.8423

Top 8 peaks for 2θ = 5–70°, in order of rising 2θ:
6.429 Å, I = 68
4.569 Å, I = 65
3.978 Å, I = 63
3.645 Å, I = 65
2.411 Å, I = 68
2.366 Å, I = 77
2.262 Å, I = 100
1.980 Å, I = 67

=====

Record 4
This entry pairs a crystal structure of ZrS2Cl5 with its computed X-ray powder pattern. Radiation: Cu Ka. Structure: a PBE-relaxed structure.

Crystal structure
abc: 6.8784 7.4536 7.6971
angles: 72.05 74.14 67.17
Atoms (fractional coordinates):
Zr 0.0000 0.0000 0.0000
S 0.1720 0.5019 0.4449
S 0.3942 0.4550 0.5695
Cl 0.0627 0.0730 0.2528
Cl 0.2697 0.6014 0.1425
Cl 0.2817 0.9193 0.7483
Cl 0.7324 0.8519 0.0775
Cl 0.8122 0.3273 0.8485

Top 8 peaks for 2θ = 5–70°, in order of rising 2θ:
7.209 Å, I = 37
6.241 Å, I = 43
5.579 Å, I = 100
5.414 Å, I = 40
4.426 Å, I = 16
4.356 Å, I = 30
3.343 Å, I = 21
2.697 Å, I = 17

=====

Record 5
This entry pairs a crystal structure of ZrS6Cl2 with its computed X-ray powder pattern. Radiation: Cu Ka. Structure: a PBE-relaxed structure.

Crystal structure
abc: 3.8172 9.3767 9.4854
angles: 62.47 87.11 87.33
Atoms (fractional coordinates):
Zr 0.0000 0.0000 0.0000
S 0.0129 0.2554 0.7371
S 0.0137 0.8248 0.4340
S 0.3802 0.7062 0.5814
S 0.6198 0.2938 0.4186
S 0.9863 0.1752 0.5660
S 0.9871 0.7446 0.2629
Cl 0.4717 0.1261 0.0901
Cl 0.5283 0.8739 0.9099

Top 8 peaks for 2θ = 5–70°, in order of rising 2θ:
8.312 Å, I = 100
8.050 Å, I = 97
4.680 Å, I = 37
4.203 Å, I = 16
3.371 Å, I = 23
3.187 Å, I = 15
2.849 Å, I = 14
2.447 Å, I = 21

=====

Record 6
This entry pairs a crystal structure of SbCl with its computed X-ray powder pattern. Radiation: Cu Ka. Structure: a PBE-relaxed structure.

Crystal structure
abc: 5.6297 5.6297 6.5404
angles: 101.60 101.60 43.73
Atoms (fractional coordinates):
Sb 0.0000 0.0000 0.0000
Sb 0.5748 0.5748 0.3187
Cl 0.1996 0.1996 0.8651
Cl 0.8127 0.8127 0.3455

Top 8 peaks for 2θ = 5–70°, in order of rising 2θ:
6.385 Å, I = 55
5.101 Å, I = 48
4.487 Å, I = 32
3.443 Å, I = 41
3.199 Å, I = 100
2.569 Å, I = 61
2.307 Å, I = 21
2.227 Å, I = 25

=====

Record 7
This entry pairs a crystal structure of SbCl3 with its computed X-ray powder pattern. Radiation: Cu Ka. Structure: a PBE-relaxed structure.

Crystal structure
abc: 7.2660 7.2885 5.3013
angles: 90.00 90.00 90.00
Atoms (fractional coordinates):
Sb 0.0000 0.0000 0.0000
Sb 0.5000 0.5000 0.0000
Cl 0.0000 0.0000 0.5000
Cl 0.1840 0.3156 0.0000
Cl 0.3160 0.8156 0.0000
Cl 0.5000 0.5000 0.5000
Cl 0.6840 0.1844 0.0000
Cl 0.8160 0.6844 0.0000

Top 8 peaks for 2θ = 5–70°, in order of rising 2θ:
5.301 Å, I = 63
5.146 Å, I = 100
3.639 Å, I = 23
2.651 Å, I = 22
2.573 Å, I = 28
2.356 Å, I = 26
2.111 Å, I = 23
1.738 Å, I = 31

=====

Record 8
This entry pairs a crystal structure of SbCl2 with its computed X-ray powder pattern. Radiation: Cu Ka. Structure: a PBE-relaxed structure.

Crystal structure
abc: 5.6382 5.6382 8.1982
angles: 110.78 110.78 80.87
Atoms (fractional coordinates):
Sb 0.0080 0.0080 0.1888
Sb 0.9920 0.9920 0.8112
Cl 0.0136 0.4592 0.3322
Cl 0.0233 0.4480 0.8846
Cl 0.5408 0.9864 0.6678
Cl 0.5520 0.9767 0.1154

Top 8 peaks for 2θ = 5–70°, in order of rising 2θ:
7.253 Å, I = 21
5.268 Å, I = 100
5.122 Å, I = 17
3.626 Å, I = 14
3.578 Å, I = 45
2.634 Å, I = 41
2.529 Å, I = 16
2.392 Å, I = 12

=====

Record 9
This entry pairs a crystal structure of Sb3Cl2 with its computed X-ray powder pattern. Radiation: Cu Ka. Structure: a PBE-relaxed structure.

Crystal structure
abc: 4.3125 4.3125 11.5585
angles: 90.00 90.00 120.00
Atoms (fractional coordinates):
Sb 0.0000 0.0000 0.0000
Sb 0.3333 0.6667 0.4318
Sb 0.6667 0.3333 0.5682
Cl 0.3333 0.6667 0.8879
Cl 0.6667 0.3333 0.1121

Top 8 peaks for 2θ = 5–70°, in order of rising 2θ:
5.779 Å, I = 100
3.554 Å, I = 94
3.137 Å, I = 80
2.682 Å, I = 54
2.285 Å, I = 53
2.156 Å, I = 52
2.020 Å, I = 38
1.966 Å, I = 19

=====

Record 10
This entry pairs a crystal structure of Sb3Cl with its computed X-ray powder pattern. Radiation: Cu Ka. Structure: a PBE-relaxed structure.

Crystal structure
abc: 7.7678 7.7678 8.8431
angles: 90.00 90.00 120.00
Atoms (fractional coordinates):
Sb 0.0000 0.5000 0.0000
Sb 0.0000 0.5000 0.5000
Sb 0.1858 0.3716 0.2500
Sb 0.1858 0.8142 0.2500
Sb 0.3716 0.1858 0.7500
Sb 0.5000 0.0000 0.0000
Sb 0.5000 0.0000 0.5000
Sb 0.5000 0.5000 0.0000
Sb 0.5000 0.5000 0.5000
Sb 0.6284 0.8142 0.2500
Sb 0.8142 0.1858 0.7500
Sb 0.8142 0.6284 0.7500
Cl 0.0000 0.0000 0.0000
Cl 0.0000 0.0000 0.5000
Cl 0.3333 0.6667 0.7500
Cl 0.6667 0.3333 0.2500

Top 8 peaks for 2θ = 5–70°, in order of rising 2θ:
5.354 Å, I = 17
3.144 Å, I = 48
2.677 Å, I = 100
2.217 Å, I = 18
2.211 Å, I = 17
1.942 Å, I = 30
1.572 Å, I = 16
1.459 Å, I = 26

=====

Record 11
This entry pairs a crystal structure of SbCl3 with its computed X-ray powder pattern. Radiation: Cu Ka. Structure: a PBE-relaxed structure.

Crystal structure
abc: 9.7523 9.0337 6.9257
angles: 90.00 90.00 90.00
Atoms (fractional coordinates):
Sb 0.0033 0.2500 0.0050
Sb 0.4967 0.7500 0.5050
Sb 0.5033 0.2500 0.4950
Sb 0.9967 0.7500 0.9950
Cl 0.0909 0.2500 0.6858
Cl 0.1545 0.0596 0.1274
Cl 0.1545 0.4404 0.1274
Cl 0.3455 0.5596 0.6274
Cl 0.3455 0.9404 0.6274
Cl 0.4091 0.7500 0.1858
Cl 0.5909 0.2500 0.8142
Cl 0.6545 0.0596 0.3726
Cl 0.6545 0.4404 0.3726
Cl 0.8455 0.5596 0.8726
Cl 0.8455 0.9404 0.8726
Cl 0.9091 0.7500 0.3142

Top 8 peaks for 2θ = 5–70°, in order of rising 2θ:
5.647 Å, I = 100
4.876 Å, I = 22
4.517 Å, I = 16
3.527 Å, I = 25
3.314 Å, I = 35
2.466 Å, I = 32
2.394 Å, I = 14
2.011 Å, I = 20

=====

Record 12
This entry pairs a crystal structure of SbCl5 with its computed X-ray powder pattern. Radiation: Cu Ka. Structure: a PBE-relaxed structure.

Crystal structure
abc: 8.0799 8.0799 8.4717
angles: 90.00 90.00 120.00
Atoms (fractional coordinates):
Sb 0.3333 0.6667 0.2500
Sb 0.6667 0.3333 0.7500
Cl 0.1667 0.3333 0.2500
Cl 0.1667 0.8333 0.2500
Cl 0.3333 0.1667 0.7500
Cl 0.3333 0.6667 0.5306
Cl 0.3333 0.6667 0.9694
Cl 0.6667 0.3333 0.0306
Cl 0.6667 0.3333 0.4694
Cl 0.6667 0.8333 0.2500
Cl 0.8333 0.1667 0.7500
Cl 0.8333 0.6667 0.7500

Top 8 peaks for 2θ = 5–70°, in order of rising 2θ:
6.997 Å, I = 37
5.395 Å, I = 100
4.040 Å, I = 40
3.499 Å, I = 27
2.619 Å, I = 29
2.525 Å, I = 28
2.020 Å, I = 20
1.930 Å, I = 23